The following is a simulated PXRD pattern of K2Cu2PtO6. It was derived from a cell relaxed with PBE, using a wavelength of 1.5418 Å.
Intensities are scaled so that the largest is 100.

Top 6 peaks for 5 to 70 degrees two-theta, sorted by position:
| 2θ (°) | d_spacing | intensity | index |
| --- | --- | --- | --- |
| 15.35 | 5.773 | 47 | 0 0 3 |
| 20.46 | 4.341 | 62 | 0 1 2 |
| 30.87 | 2.897 | 90 | 1 1 0 |
| 31.38 | 2.850 | 100 | 0 1 5 |
| 44.60 | 2.032 | 32 | 2 0 5 |
| 55.22 | 1.663 | 43 | 1 2 5 |

Structure:
```
data_K2Cu2PtO6
_chemical_formula_sum 'K6 Cu6 Pt3 O18'
_cell_length_a 5.7939
_cell_length_b 5.7939
_cell_length_c 17.3178
_cell_angle_alpha 90.00
_cell_angle_beta 90.00
_cell_angle_gamma 120.00
_symmetry_space_group_name_H-M 'R -3 m'
_symmetry_Int_Tables_number 166
_symmetry_space_group_name_Hall '-R 3 2"'
loop_
_atom_site_label
_atom_site_type_symbol
_atom_site_fract_x
_atom_site_fract_y
_atom_site_fract_z
K1 K 0.0000 0.0000 0.2085
Cu1 Cu 0.0000 0.0000 0.3951
Pt1 Pt 0.0000 0.0000 0.0000
O1 O 0.0246 0.5123 0.7396
```